# MgZn5Pd2
Computed X-ray powder pattern, a wavelength of 1.5418 Å. Input: a structure optimized by DFT (PBE).
Neutral-atom scattering factors, no anomalous dispersion.

Main lines, by angle (2θ from 10° to 90°):
2θ/deg  intensity
38.7  51.5
41.3  49.5
41.7  100.0
42.1  42.9
44.6  44.5
49.3  34.8

Crystal structure
Cell lengths 6.7649, 6.7649, 6.7649 Å; angles 155.42, 101.12, 84.13 degrees
Positions (direct):
Mg 0.0000 0.0000 0.0000
Zn 0.1448 0.3655 0.7793
Zn 0.4138 0.6345 0.7793
Zn 0.5000 0.0000 0.5000
Zn 0.5862 0.3655 0.2207
Zn 0.8552 0.6345 0.2207
Pd 0.2359 0.7359 0.5000
Pd 0.7641 0.2641 0.5000


# Mg2ZnPd3
Computed X-ray powder pattern, a wavelength of 1.5418 Å. Input: a structure optimized by DFT (PBE).
Neutral-atom scattering factors, no anomalous dispersion.

Main lines, by angle (2θ from 10° to 90°):
2θ/deg  intensity
26.4  15.3
29.5  23.8
40.0  100.0
42.2  43.6
71.0  16.3
75.6  28.9

Crystal structure
Cell lengths 3.0295, 3.0295, 10.1449 Å; angles 90.00, 90.00, 90.00 degrees
Positions (direct):
Mg 0.0000 0.0000 0.1714
Mg 0.0000 0.0000 0.8286
Zn 0.0000 0.0000 0.5000
Pd 0.5000 0.5000 0.0000
Pd 0.5000 0.5000 0.3441
Pd 0.5000 0.5000 0.6559


# Mg3Zn4Pd4
Computed X-ray powder pattern, a wavelength of 1.5418 Å. Input: a structure optimized by DFT (PBE).
Neutral-atom scattering factors, no anomalous dispersion.

Main lines, by angle (2θ from 10° to 90°):
2θ/deg  intensity
21.7  30.3
39.5  100.0
40.2  91.1
42.2  39.6
42.3  39.2
70.7  24.2

Crystal structure
Cell lengths 3.0736, 3.4129, 16.5105 Å; angles 84.13, 84.81, 89.96 degrees
Positions (direct):
Mg 0.0000 0.0000 0.0000
Mg 0.3613 0.3604 0.2795
Mg 0.6387 0.6396 0.7205
Zn 0.0881 0.0890 0.8217
Zn 0.2727 0.2718 0.4566
Zn 0.7273 0.7282 0.5434
Zn 0.9119 0.9110 0.1783
Pd 0.1846 0.1855 0.6287
Pd 0.4519 0.4516 0.0969
Pd 0.5481 0.5484 0.9031
Pd 0.8154 0.8145 0.3713


# Mg3ZnPd2
Computed X-ray powder pattern, a wavelength of 1.5418 Å. Input: a structure optimized by DFT (PBE).
Neutral-atom scattering factors, no anomalous dispersion.

Main lines, by angle (2θ from 10° to 90°):
2θ/deg  intensity
27.1  23.1
28.0  42.2
39.4  100.0
40.0  48.2
49.0  17.9
72.2  31.4

Crystal structure
Cell lengths 3.1878, 3.1878, 9.8686 Å; angles 90.00, 90.00, 90.00 degrees
Positions (direct):
Mg 0.0000 0.0000 0.0000
Mg 0.0000 0.0000 0.3214
Mg 0.0000 0.0000 0.6786
Zn 0.5000 0.5000 0.5000
Pd 0.5000 0.5000 0.1636
Pd 0.5000 0.5000 0.8364